# 1
The following is a computed PXRD pattern of Fe3Ag2. It was derived from a DFT-relaxed cell (PBE, OQMD), using Cu Kα (weighted mean of Kα1 and Kα2).

Crystal structure
```
data_Fe3Ag2
_chemical_formula_sum 'Fe18 Ag12'
_cell_length_a 6.3385
_cell_length_b 6.3385
_cell_length_c 14.2837
_cell_angle_alpha 90.00
_cell_angle_beta 90.00
_cell_angle_gamma 120.00
_symmetry_space_group_name_H-M 'R -3 c'
_symmetry_Int_Tables_number 167
_symmetry_space_group_name_Hall '-R 3 2"c'
loop_
_atom_site_label
_atom_site_type_symbol
_atom_site_fract_x
_atom_site_fract_y
_atom_site_fract_z
Fe1 Fe 0.0000 0.2181 0.2500
Ag1 Ag 0.0000 0.0000 0.0909
```

The 10 most intense peaks (2θ = 5–70°), in order of falling intensity:
2θ 28.2, d 3.169, I = 1000, hkl 1 1 0; 2θ 37.8, d 2.381, I = 616, hkl 0 0 6; 2θ 50.9, d 1.794, I = 484, hkl 2 1 4; 2θ 47.8, d 1.903, I = 408, hkl 1 1 6; 2θ 45.5, d 1.992, I = 393, hkl 1 2 2; 2θ 41.5, d 2.176, I = 354, hkl 0 2 4; 2θ 35.0, d 2.562, I = 304, hkl 2 0 2; 2θ 34.0, d 2.638, I = 279, hkl 1 1 3; 2θ 44.1, d 2.053, I = 252, hkl 2 1 1; 2θ 49.8, d 1.830, I = 246, hkl 3 0 0

---

# 2
The following is a computed PXRD pattern of Fe2Ag. It was derived from a DFT-relaxed cell (PBE, OQMD), using Cu Kα (weighted mean of Kα1 and Kα2).

Crystal structure
Cell: 6.9265 6.9265 6.9265 Å, 90.00 90.00 90.00°
Space group Fd-3m (No. 227, origin choice 2)
Asymmetric unit:
Fe: 0.0000 0.0000 0.0000
Ag: 0.1250 0.1250 0.6250

The 6 most intense peaks (2θ = 5–70°), in order of falling intensity:
2θ 43.3, d 2.088, I = 1000, hkl 3 1 1; 2θ 36.7, d 2.449, I = 537, hkl 2 2 0; 2θ 45.4, d 2.000, I = 209, hkl 2 2 2; 2θ 66.1, d 1.414, I = 176, hkl 4 2 2; 2θ 22.2, d 3.999, I = 39, hkl 1 1 1; 2θ 58.0, d 1.589, I = 10, hkl 3 3 1

---

# 3
The following is a computed PXRD pattern of ZrGaFeAg. It was derived from a DFT-relaxed cell (PBE, OQMD), using Cu Kα (weighted mean of Kα1 and Kα2).

Crystal structure
```
data_ZrGaFeAg
_chemical_formula_sum 'Zr4 Ga4 Fe4 Ag4'
_cell_length_a 6.4304
_cell_length_b 6.4304
_cell_length_c 6.4304
_cell_angle_alpha 90.00
_cell_angle_beta 90.00
_cell_angle_gamma 90.00
_symmetry_space_group_name_H-M 'F -4 3 m'
_symmetry_Int_Tables_number 216
_symmetry_space_group_name_Hall 'F -4 2 3'
loop_
_atom_site_label
_atom_site_type_symbol
_atom_site_fract_x
_atom_site_fract_y
_atom_site_fract_z
Zr1 Zr 0.0000 0.0000 0.0000
Ga1 Ga 0.0000 0.0000 0.5000
Fe1 Fe 0.2500 0.2500 0.7500
Ag1 Ag 0.2500 0.2500 0.2500
```

The 5 most intense peaks (2θ = 5–70°), in order of falling intensity:
2θ 39.6, d 2.273, I = 1000, hkl 2 2 0; 2θ 57.3, d 1.608, I = 162, hkl 4 0 0; 2θ 24.0, d 3.713, I = 71, hkl 1 1 1; 2θ 46.9, d 1.939, I = 35, hkl 3 1 1; 2θ 63.0, d 1.475, I = 14, hkl 3 3 1

---

# 4
The following is a computed PXRD pattern of FeAg2I4. It was derived from a DFT-relaxed cell (PBE, OQMD), using Cu Kα (weighted mean of Kα1 and Kα2).

Crystal structure
```
data_FeAg2I4
_chemical_formula_sum 'Fe2 Ag4 I8'
_cell_length_a 6.3461
_cell_length_b 6.3461
_cell_length_c 12.6294
_cell_angle_alpha 90.00
_cell_angle_beta 90.00
_cell_angle_gamma 90.00
_symmetry_space_group_name_H-M 'I -4'
_symmetry_Int_Tables_number 82
loop_
_symmetry_equiv_pos_as_xyz
'x,y,z'
'y,-x,-z'
'-x,-y,z'
'-y,x,-z'
'x+1/2,y+1/2,z+1/2'
'y+1/2,-x+1/2,-z+1/2'
'-x+1/2,-y+1/2,z+1/2'
'-y+1/2,x+1/2,-z+1/2'
loop_
_atom_site_label
_atom_site_type_symbol
_atom_site_fract_x
_atom_site_fract_y
_atom_site_fract_z
Fe1 Fe 0.0000 0.0000 0.0000
Ag1 Ag 0.0000 0.0000 0.5000
Ag2 Ag 0.0000 0.5000 0.7500
I1 I 0.2189 0.7511 0.1248
```

The 10 most intense peaks (2θ = 5–70°), in order of falling intensity:
2θ 24.3, d 3.658, I = 1000, hkl 1 1 2; 2θ 40.3, d 2.238, I = 471, hkl 2 0 4; 2θ 47.5, d 1.913, I = 283, hkl 3 1 2; 2θ 40.2, d 2.244, I = 226, hkl 2 2 0; 2θ 47.7, d 1.906, I = 157, hkl 1 1 6; 2θ 32.3, d 2.769, I = 114, hkl 2 1 1; 2θ 64.1, d 1.452, I = 113, hkl 3 1 6; 2θ 25.4, d 3.508, I = 81, hkl 1 0 3; 2θ 58.1, d 1.587, I = 67, hkl 4 0 0; 2θ 15.6, d 5.670, I = 57, hkl 1 0 1

---

# 5
The following is a computed PXRD pattern of InFeAgTeS2. It was derived from a DFT-relaxed cell (PBE, OQMD), using Cu Kα (weighted mean of Kα1 and Kα2).

Crystal structure
```
data_InFeAgTeS2
_chemical_formula_sum 'In4 Fe4 Ag4 Te4 S8'
_cell_length_a 3.2971
_cell_length_b 15.1054
_cell_length_c 10.4253
_cell_angle_alpha 90.00
_cell_angle_beta 90.00
_cell_angle_gamma 90.00
_symmetry_space_group_name_H-M 'C m c m'
_symmetry_Int_Tables_number 63
_symmetry_space_group_name_Hall '-C 2c 2'
loop_
_atom_site_label
_atom_site_type_symbol
_atom_site_fract_x
_atom_site_fract_y
_atom_site_fract_z
In1 In 0.0000 0.1866 0.2500
Fe1 Fe 0.0000 0.5000 0.0000
Ag1 Ag 0.0000 0.1606 0.7500
Te1 Te 0.0000 0.4845 0.7500
S1 S 0.0000 0.1052 0.5079
```

The 10 most intense peaks (2θ = 5–70°), in order of falling intensity:
2θ 32.5, d 2.758, I = 1000, hkl 1 3 0; 2θ 17.0, d 5.213, I = 656, hkl 0 0 2; 2θ 48.0, d 1.894, I = 641, hkl 1 3 4; 2θ 34.4, d 2.606, I = 537, hkl 0 0 4; 2θ 36.9, d 2.438, I = 503, hkl 1 3 2; 2θ 39.8, d 2.267, I = 252, hkl 0 6 2; 2θ 35.7, d 2.518, I = 210, hkl 0 6 0; 2θ 11.7, d 7.553, I = 157, hkl 0 2 0; 2θ 50.4, d 1.811, I = 154, hkl 0 6 4; 2θ 67.2, d 1.393, I = 141, hkl 2 0 4

---

# 6
The following is a computed PXRD pattern of FeAg2Ir. It was derived from a DFT-relaxed cell (PBE, OQMD), using Cu Kα (weighted mean of Kα1 and Kα2).

Crystal structure
```
data_FeAg2Ir
_chemical_formula_sum 'Fe4 Ag8 Ir4'
_cell_length_a 6.3006
_cell_length_b 6.3006
_cell_length_c 6.3006
_cell_angle_alpha 90.00
_cell_angle_beta 90.00
_cell_angle_gamma 90.00
_symmetry_space_group_name_H-M 'F -4 3 m'
_symmetry_Int_Tables_number 216
_symmetry_space_group_name_Hall 'F -4 2 3'
loop_
_atom_site_label
_atom_site_type_symbol
_atom_site_fract_x
_atom_site_fract_y
_atom_site_fract_z
Fe1 Fe 0.0000 0.0000 0.0000
Ag1 Ag 0.0000 0.0000 0.5000
Ag2 Ag 0.2500 0.2500 0.2500
Ir1 Ir 0.2500 0.2500 0.7500
```

The 8 most intense peaks (2θ = 5–70°), in order of falling intensity:
2θ 40.5, d 2.228, I = 1000, hkl 2 2 0; 2θ 58.6, d 1.575, I = 163, hkl 4 0 0; 2θ 28.3, d 3.150, I = 96, hkl 2 0 0; 2θ 24.5, d 3.638, I = 94, hkl 1 1 1; 2θ 47.9, d 1.900, I = 51, hkl 3 1 1; 2θ 66.4, d 1.409, I = 39, hkl 4 2 0; 2θ 50.2, d 1.819, I = 29, hkl 2 2 2; 2θ 64.5, d 1.445, I = 22, hkl 3 3 1

---

# 7
The following is a computed PXRD pattern of KFeAgS3. It was derived from a DFT-relaxed cell (PBE, OQMD), using Cu Kα (weighted mean of Kα1 and Kα2).

Crystal structure
```
data_KFeAgS3
_chemical_formula_sum 'K4 Fe4 Ag4 S12'
_cell_length_a 3.5593
_cell_length_b 14.5488
_cell_length_c 9.9188
_cell_angle_alpha 90.00
_cell_angle_beta 90.00
_cell_angle_gamma 90.00
_symmetry_space_group_name_H-M 'C m c m'
_symmetry_Int_Tables_number 63
_symmetry_space_group_name_Hall '-C 2c 2'
loop_
_atom_site_label
_atom_site_type_symbol
_atom_site_fract_x
_atom_site_fract_y
_atom_site_fract_z
K1 K 0.0000 0.2389 0.2500
Fe1 Fe 0.0000 0.5000 0.0000
Ag1 Ag 0.0000 0.0646 0.7500
S1 S 0.0000 0.1050 0.5145
S2 S 0.0000 0.4410 0.7500
```

The 10 most intense peaks (2θ = 5–70°), in order of falling intensity:
2θ 12.2, d 7.274, I = 1000, hkl 0 2 0; 2θ 32.5, d 2.756, I = 637, hkl 1 3 1; 2θ 36.2, d 2.481, I = 484, hkl 0 0 4; 2θ 41.7, d 2.167, I = 237, hkl 1 3 3; 2θ 15.1, d 5.866, I = 204, hkl 0 2 1; 2θ 26.1, d 3.415, I = 147, hkl 0 4 1; 2θ 56.4, d 1.632, I = 146, hkl 1 3 5; 2θ 31.5, d 2.836, I = 143, hkl 1 1 2; 2θ 40.0, d 2.253, I = 121, hkl 1 5 0; 2θ 41.5, d 2.178, I = 120, hkl 0 6 2

---

# 8
The following is a computed PXRD pattern of MgFeAgPb. It was derived from a DFT-relaxed cell (PBE, OQMD), using Cu Kα (weighted mean of Kα1 and Kα2).

Crystal structure
```
data_MgFeAgPb
_chemical_formula_sum 'Mg4 Fe4 Ag4 Pb4'
_cell_length_a 6.7276
_cell_length_b 6.7276
_cell_length_c 6.7276
_cell_angle_alpha 90.00
_cell_angle_beta 90.00
_cell_angle_gamma 90.00
_symmetry_space_group_name_H-M 'F -4 3 m'
_symmetry_Int_Tables_number 216
_symmetry_space_group_name_Hall 'F -4 2 3'
loop_
_atom_site_label
_atom_site_type_symbol
_atom_site_fract_x
_atom_site_fract_y
_atom_site_fract_z
Mg1 Mg 0.0000 0.0000 0.0000
Fe1 Fe 0.2500 0.2500 0.7500
Ag1 Ag 0.2500 0.2500 0.2500
Pb1 Pb 0.0000 0.0000 0.5000
```

The 9 most intense peaks (2θ = 5–70°), in order of falling intensity:
2θ 37.8, d 2.379, I = 1000, hkl 2 2 0; 2θ 22.9, d 3.884, I = 505, hkl 1 1 1; 2θ 68.3, d 1.373, I = 343, hkl 4 2 2; 2θ 44.7, d 2.028, I = 275, hkl 3 1 1; 2θ 54.6, d 1.682, I = 170, hkl 4 0 0; 2θ 59.9, d 1.543, I = 118, hkl 3 3 1; 2θ 26.5, d 3.364, I = 24, hkl 2 0 0; 2θ 61.7, d 1.504, I = 15, hkl 4 2 0; 2θ 46.8, d 1.942, I = 9, hkl 2 2 2